Calculated powder XRD pattern of TcB4Pt for Cu Kα, 1.54184 Å, from a DFT-relaxed cell (GGA-PBE, OQMD).
Intensities are scaled so that the largest is 1000.

Top 8 peaks for 2θ = 10–90°, by intensity:
2theta	intensity	hkl
43.24	1000	1 0 2
34.33	766	1 0 0
25.47	474	0 0 2
64.09	259	1 0 4
12.66	244	0 0 1
67.66	200	1 1 2
61.49	190	1 1 0
78.12	175	2 0 2

Cell and atoms:
a b c (Å): 3.0159 3.0159 6.9933
angles (deg): 90.00 90.00 120.00
Fractional positions:
Tc (0.0000, 0.0000, 0.0000)
B (0.3333, 0.6667, 0.2363)
B (0.3333, 0.6667, 0.7637)
B (0.6667, 0.3333, 0.2363)
B (0.6667, 0.3333, 0.7637)
Pt (0.0000, 0.0000, 0.5000)